Theoretical powder diffraction line list
Compound: TlHgTeO6
Radiation: copper Kα
Structure: a PBE-relaxed structure
No peak broadening, texture or thermal motion is included.

The 6 most intense peaks (2θ = 10–80°), sorted by position:
d (Å), I (rel.)
3.539, 100
2.807, 92
2.502, 28
1.868, 70
1.529, 17
1.497, 20

```
data_TlHgTeO6
_chemical_formula_sum 'Tl2 Hg2 Te2 O12'
_cell_length_a 5.0044
_cell_length_b 5.0044
_cell_length_c 10.1735
_cell_angle_alpha 90.00
_cell_angle_beta 90.00
_cell_angle_gamma 90.00
_symmetry_space_group_name_H-M 'P 42 n m'
_symmetry_Int_Tables_number 102
loop_
_symmetry_equiv_pos_as_xyz
'x,y,z'
'-y+1/2,x+1/2,z+1/2'
'-x,-y,z'
'y+1/2,-x+1/2,z+1/2'
'-x+1/2,y+1/2,z+1/2'
'y,x,z'
'x+1/2,-y+1/2,z+1/2'
'-y,-x,z'
loop_
_atom_site_label
_atom_site_type_symbol
_atom_site_fract_x
_atom_site_fract_y
_atom_site_fract_z
Tl1 Tl 0.0000 0.0000 0.0000
Hg1 Hg 0.0000 0.0000 0.3296
Te1 Te 0.0000 0.0000 0.6650
O1 O 0.1798 0.1798 0.8135
O2 O 0.1837 0.1837 0.5208
O3 O 0.2216 0.2216 0.1619
```